Simulated X-ray diffraction stick pattern
Compound: PuIn2F11
Radiation: λ = 1.5418 Å (Cu Kα)
Structure: a crystal structure in Alexandria, relaxed with PBE

Most intense lines, 15 to 90 degrees two-theta, sorted by position:
two_theta  Rel. int.  h k l
21.8  100  1 1 2
22.5  16  1 2 1
23.9  56  0 2 2
26.0  24  2 1 1
28.8  22  1 3 0
44.2  26  1 3 4
44.4  15  2 2 4
47.4  23  3 3 2
49.3  17  1 5 2
69.1  13  3 3 6

Structural model:
a = 7.7110 Å, b = 10.1599 Å, c = 10.9175 Å
α = 90.00°, β = 90.00°, γ = 90.00°
Space group Ibam (No. 72)
Asymmetric unit:
Pu  0.0000  0.0000  0.2500 [4 per cell]
In  0.1322  0.3206  0.0000 [8 per cell]
F  0.0000  0.5000  0.0000 [4 per cell]
F  0.0907  0.1684  0.1436 [16 per cell]
F  0.1360  0.2812  0.5000 [8 per cell]
F  0.2259  0.0719  0.3564 [16 per cell]

---

Simulated X-ray diffraction stick pattern
Compound: Pu2InF11
Radiation: λ = 1.5418 Å (Cu Kα)
Structure: a crystal structure in Alexandria, relaxed with PBE

Most intense lines, 15 to 90 degrees two-theta, sorted by position:
two_theta  Rel. int.  h k l
16.6  59  0 0 2
21.6  65  1 1 2
22.1  75  1 2 1
24.2  67  0 2 2
24.5  100  2 1 1
34.2  28  2 1 3
38.0  23  1 4 1
44.5  25  1 3 4
45.2  29  1 4 3
45.4  47  3 3 2

Structural model:
a = 8.3770 Å, b = 10.1352 Å, c = 10.7073 Å
α = 90.00°, β = 90.00°, γ = 90.00°
Space group Ibam (No. 72)
Asymmetric unit:
Pu  0.1557  0.1818  0.0000 [8 per cell]
In  0.0000  0.5000  0.2500 [4 per cell]
F  0.0000  0.0000  0.0000 [4 per cell]
F  0.0871  0.3263  0.1438 [16 per cell]
F  0.1300  0.2100  0.5000 [8 per cell]
F  0.2131  0.4324  0.3605 [16 per cell]

---

Simulated X-ray diffraction stick pattern
Compound: RbIn3F10
Radiation: λ = 1.5418 Å (Cu Kα)
Structure: a crystal structure in Alexandria, relaxed with PBE

Most intense lines, 15 to 90 degrees two-theta, sorted by position:
two_theta  Rel. int.  h k l
21.7  47  2 0 0
25.4  24  2 0 1
26.1  100  0 2 1
26.4  44  0 0 2
27.9  43  2 1 1
36.3  18  2 1 2
44.3  21  4 0 0
46.4  29  0 2 3
49.1  24  2 3 2
52.1  32  4 2 1

Structural model:
a = 8.1870 Å, b = 7.9236 Å, c = 6.7572 Å
α = 90.00°, β = 90.00°, γ = 90.00°
Space group Pmma (No. 51)
Asymmetric unit:
Rb  0.2500  0.0000  0.0128 [2 per cell]
In  0.0000  0.2290  0.5000 [4 per cell]
In  0.0000  0.5000  0.0000 [2 per cell]
F  0.0000  0.5000  0.5000 [2 per cell]
F  0.0239  0.0000  0.6817 [4 per cell]
F  0.0558  0.3011  0.8057 [8 per cell]
F  0.2500  0.2181  0.4221 [4 per cell]
F  0.2500  0.5000  0.0887 [2 per cell]